[1]
The following is a computed powder diffractogram of NaTl4In. It was derived from a structure optimized by DFT (PBE), using Cu Ka.
Kinematic intensities with the Lorentz-polarization factor, no thermal factor.

Main lines, by intensity (5 to 70 degrees two-theta):
| two_theta | d (Å) | I_rel |
| --- | --- | --- |
| 31.7 | 2.822 | 100.0 |
| 31.9 | 2.810 | 99.0 |
| 52.8 | 1.734 | 37.2 |
| 36.3 | 2.477 | 34.7 |
| 37.0 | 2.429 | 33.3 |
| 37.3 | 2.411 | 32.6 |
| 63.4 | 1.466 | 28.1 |
| 53.6 | 1.711 | 23.2 |
| 19.4 | 4.587 | 19.4 |
| 62.6 | 1.485 | 15.3 |

Crystal structure
```
NaTl4In
1.0
4.8221 0.0000 0.0000
0.0000 4.8586 0.0000
-2.3602 0.0000 7.4320
Na Tl In
1 4 1
Cartesian
0.0000 0.0000 0.0000 Na
0.0368 2.4293 2.5038 Tl
0.0182 0.0000 4.9497 Tl
0.0501 2.4293 7.3463 Tl
2.4440 0.0000 2.5320 Tl
2.4258 2.4293 4.9267 In
```

***

[2]
The following is a computed powder diffractogram of Na5TlIn5. It was derived from a structure optimized by DFT (PBE), using Cu Ka.
Kinematic intensities with the Lorentz-polarization factor, no thermal factor.

Main lines, by intensity (5 to 70 degrees two-theta):
| two_theta | d (Å) | I_rel |
| --- | --- | --- |
| 18.9 | 4.691 | 100.0 |
| 38.4 | 2.346 | 88.1 |
| 30.0 | 2.981 | 51.1 |
| 29.8 | 3.000 | 39.1 |
| 23.6 | 3.764 | 37.9 |
| 38.9 | 2.315 | 36.5 |
| 8.1 | 10.919 | 36.1 |
| 30.9 | 2.892 | 34.1 |
| 32.8 | 2.730 | 32.0 |
| 34.5 | 2.598 | 31.5 |

Crystal structure
```
Na5TlIn5
1.0
5.9992 0.0000 0.0000
-2.9996 5.1955 0.0000
0.0000 0.0000 10.9186
Na Tl In
5 1 5
Cartesian
0.0000 0.0000 0.0000 Na
0.0000 3.4636 3.5380 Na
0.0000 3.4636 7.3806 Na
2.9996 1.7318 2.1728 Na
2.9996 1.7318 8.7458 Na
0.0000 3.4636 0.0000 Tl
0.0000 0.0000 2.9387 In
0.0000 0.0000 7.9799 In
1.5313 0.8841 5.4593 In
4.4679 0.8841 5.4593 In
2.9996 3.4273 5.4593 In
```

***

[3]
The following is a computed powder diffractogram of Na5TlIn4. It was derived from a structure optimized by DFT (PBE), using Cu Ka.
Kinematic intensities with the Lorentz-polarization factor, no thermal factor.

Main lines, by intensity (5 to 70 degrees two-theta):
| two_theta | d (Å) | I_rel |
| --- | --- | --- |
| 34.2 | 2.624 | 100.0 |
| 41.1 | 2.196 | 45.6 |
| 22.1 | 4.014 | 37.8 |
| 7.3 | 12.042 | 36.3 |
| 31.6 | 2.828 | 35.0 |
| 19.7 | 4.509 | 31.4 |
| 21.9 | 4.059 | 30.8 |
| 20.1 | 4.407 | 24.4 |
| 38.0 | 2.371 | 18.6 |
| 33.7 | 2.662 | 17.9 |

Crystal structure
```
Na5TlIn4
1.0
2.6237 1.5148 12.0424
-2.6237 1.5148 12.0424
0.0000 -3.0296 12.0424
Na Tl In
5 1 4
Cartesian
0.0000 0.0000 0.0000 Na
0.0000 0.0000 3.4811 Na
0.0000 0.0000 7.0144 Na
0.0000 0.0000 22.4768 Na
0.0000 0.0000 32.6332 Na
0.0000 0.0000 17.8458 Tl
0.0000 0.0000 10.2342 In
0.0000 0.0000 13.2944 In
0.0000 0.0000 26.1164 In
0.0000 0.0000 29.1884 In
```

***

[4]
The following is a computed powder diffractogram of NaTl8In4. It was derived from a structure optimized by DFT (PBE), using Cu Ka.
Kinematic intensities with the Lorentz-polarization factor, no thermal factor.

Main lines, by intensity (5 to 70 degrees two-theta):
| two_theta | d (Å) | I_rel |
| --- | --- | --- |
| 37.3 | 2.408 | 100.0 |
| 29.7 | 3.006 | 99.0 |
| 31.3 | 2.855 | 95.3 |
| 34.4 | 2.608 | 60.4 |
| 34.6 | 2.589 | 51.8 |
| 34.3 | 2.617 | 44.1 |
| 51.7 | 1.769 | 38.5 |
| 29.4 | 3.040 | 34.6 |
| 30.2 | 2.959 | 30.9 |
| 33.6 | 2.664 | 26.4 |

Crystal structure
```
NaTl8In4
1.0
5.6571 -2.4072 0.0000
5.6571 2.4072 0.0000
-5.2428 0.0000 14.4758
Na Tl In
1 8 4
Cartesian
0.0000 0.0000 0.0000 Na
-1.2078 0.0000 3.8209 Tl
-2.2981 0.0000 7.0493 Tl
-1.9200 0.0000 12.6641 Tl
0.8811 0.0000 8.1449 Tl
3.4534 0.0000 1.7312 Tl
1.0964 0.0000 11.7728 Tl
6.6805 0.0000 2.7859 Tl
4.4171 0.0000 10.0124 Tl
-3.5486 0.0000 9.9526 In
2.1693 0.0000 4.9554 In
5.6231 0.0000 6.0067 In
2.7706 0.0000 14.4214 In
```

***

[5]
The following is a computed powder diffractogram of NaTl8In6. It was derived from a structure optimized by DFT (PBE), using Cu Ka.
Kinematic intensities with the Lorentz-polarization factor, no thermal factor.

Main lines, by intensity (5 to 70 degrees two-theta):
| two_theta | d (Å) | I_rel |
| --- | --- | --- |
| 30.8 | 2.905 | 100.0 |
| 29.5 | 3.031 | 67.4 |
| 36.5 | 2.460 | 55.0 |
| 36.3 | 2.475 | 30.6 |
| 35.7 | 2.515 | 27.8 |
| 54.0 | 1.699 | 19.8 |
| 27.8 | 3.210 | 18.9 |
| 30.0 | 2.978 | 16.4 |
| 61.1 | 1.516 | 16.0 |
| 51.3 | 1.781 | 12.7 |

Crystal structure
```
NaTl8In6
1.0
4.7010 2.7141 5.8216
-4.7010 2.7141 5.8216
0.0000 -5.4283 5.8216
Na Tl In
1 8 6
Cartesian
0.0000 0.0000 0.0000 Na
-3.2452 -1.3758 8.6439 Tl
-0.4311 -3.4983 8.8209 Tl
-2.8141 2.1225 8.8209 Tl
0.0000 0.0000 7.1299 Tl
0.0000 0.0000 10.3349 Tl
2.8141 -2.1225 8.6439 Tl
0.4311 3.4983 8.6439 Tl
3.2452 1.3758 8.8209 Tl
-2.9071 0.0938 5.7057 In
1.3723 -2.5646 5.7057 In
-1.5348 -2.4707 11.7591 In
1.5348 2.4708 5.7057 In
-1.3723 2.5646 11.7591 In
2.9071 -0.0938 11.7591 In
```

***

[6]
The following is a computed powder diffractogram of Na17Tl11In. It was derived from a structure optimized by DFT (PBE), using Cu Ka.
Kinematic intensities with the Lorentz-polarization factor, no thermal factor.

Main lines, by intensity (5 to 70 degrees two-theta):
| two_theta | d (Å) | I_rel |
| --- | --- | --- |
| 18.2 | 4.886 | 100.0 |
| 35.1 | 2.555 | 51.5 |
| 31.7 | 2.823 | 40.9 |
| 38.3 | 2.350 | 25.8 |
| 38.4 | 2.345 | 25.6 |
| 35.3 | 2.543 | 17.4 |
| 54.1 | 1.696 | 13.4 |
| 10.5 | 8.465 | 13.3 |
| 31.8 | 2.816 | 12.4 |
| 25.8 | 3.459 | 11.5 |

Crystal structure
```
Na17Tl11In
1.0
5.9848 -8.4838 0.0000
5.9848 8.4838 0.0000
-5.9512 0.0000 8.4433
Na Tl In
17 11 1
Cartesian
0.0000 0.0000 0.0000 Na
3.9709 5.6250 0.0013 Na
-3.9270 0.0000 5.5919 Na
1.6779 2.6067 4.9534 Na
4.3312 3.5098 2.6030 Na
-0.5592 0.0000 6.1009 Na
2.0237 0.0000 2.8533 Na
4.3402 4.9753 5.8329 Na
0.6749 2.3488 8.4251 Na
1.6779 -2.6067 4.9534 Na
5.3606 0.0000 2.3496 Na
3.9709 -5.6250 0.0013 Na
7.6479 2.6117 3.4840 Na
0.6749 -2.3488 8.4251 Na
4.3312 -3.5098 2.6030 Na
7.6479 -2.6117 3.4840 Na
4.3402 -4.9753 5.8329 Na
7.1292 -5.2517 1.6104 Tl
4.8403 6.8716 3.2107 Tl
1.1629 5.2509 6.8229 Tl
-2.5270 1.6166 8.4410 Tl
7.1292 5.2517 1.6104 Tl
-2.5270 -1.6166 8.4410 Tl
4.8407 1.6232 5.2335 Tl
8.5433 0.0000 1.5550 Tl
1.1629 -5.2509 6.8229 Tl
4.8407 -1.6232 5.2335 Tl
4.8403 -6.8716 3.2107 Tl
2.6818 0.0000 6.8495 In
```